No. 1
Starting from DFT lattice parameters and positions (GGA+U), the X-ray powder pattern of LiP4WO12 was simulated for CuKα.

Structural model:
```
LiP4WO12
1.0
8.605 -6.050 0.000
8.605 6.050 0.000
-0.984 0.000 5.339
Li P W O
2 8 2 24
Direct
0.067 0.067 0.106
0.933 0.933 0.894
0.128 0.725 0.320
0.202 0.444 0.039
0.275 0.872 0.680
0.444 0.202 0.039
0.556 0.798 0.961
0.725 0.128 0.320
0.798 0.556 0.961
0.872 0.275 0.680
0.000 0.500 0.500
0.500 0.000 0.500
0.041 0.685 0.474
0.062 0.844 0.176
0.111 0.404 0.180
0.156 0.938 0.824
0.178 0.429 0.759
0.206 0.594 0.135
0.259 0.741 0.500
0.315 0.959 0.526
0.358 0.358 0.116
0.404 0.111 0.180
0.406 0.794 0.865
0.429 0.178 0.759
0.571 0.822 0.241
0.594 0.206 0.135
0.596 0.889 0.820
0.642 0.642 0.884
0.685 0.041 0.474
0.741 0.259 0.500
0.794 0.406 0.865
0.822 0.571 0.241
0.844 0.062 0.176
0.889 0.596 0.820
0.938 0.156 0.824
0.959 0.315 0.526
```

The 10 most intense peaks (5° ≤ 2θ ≤ 70°), by intensity:
14.64°, rel. 100
10.45°, rel. 95
22.21°, rel. 58
24.36°, rel. 33
18.02°, rel. 31
25.88°, rel. 27
28.54°, rel. 27
21.22°, rel. 25
34.06°, rel. 23
17.34°, rel. 18



No. 2
Starting from DFT lattice parameters and positions (GGA+U), the X-ray powder pattern of LiPWO5 was simulated for CuKα.

Structural model:
```
LiPWO5
1.0
7.098 0.000 0.000
3.260 6.712 0.000
0.338 -0.112 8.125
Li P W O
4 4 4 20
Direct
0.203 0.317 0.431
0.282 0.796 0.070
0.718 0.204 0.930
0.797 0.683 0.569
0.235 0.741 0.406
0.268 0.246 0.094
0.732 0.754 0.906
0.765 0.259 0.594
0.254 0.501 0.758
0.255 0.999 0.744
0.745 0.001 0.256
0.746 0.499 0.242
0.067 0.403 0.181
0.076 0.863 0.277
0.145 0.624 0.519
0.225 0.090 0.997
0.234 0.759 0.842
0.257 0.251 0.663
0.299 0.876 0.510
0.372 0.345 0.977
0.413 0.145 0.239
0.427 0.594 0.302
0.573 0.406 0.698
0.587 0.855 0.761
0.628 0.655 0.023
0.701 0.124 0.490
0.743 0.749 0.337
0.766 0.241 0.158
0.775 0.910 0.003
0.855 0.376 0.481
0.924 0.137 0.723
0.933 0.597 0.819
```

The 10 most intense peaks (5° ≤ 2θ ≤ 70°), by intensity:
18.05°, rel. 100
17.30°, rel. 93
26.51°, rel. 85
26.29°, rel. 71
27.98°, rel. 66
21.88°, rel. 63
34.95°, rel. 37
36.59°, rel. 32
41.04°, rel. 31
35.44°, rel. 30



No. 3
Starting from DFT lattice parameters and positions (GGA+U), the X-ray powder pattern of Rb2LiPr2W4O16 was simulated for CuKα.

Structural model:
```
Rb2LiPr2W4O16
1.0
7.595 0.000 0.000
3.516 6.769 0.000
3.737 -1.682 7.027
Rb Li Pr W O
2 1 2 4 16
Direct
0.000 0.000 0.000
0.426 0.474 0.695
0.566 0.259 0.324
0.460 0.011 0.056
0.942 0.494 0.644
0.395 0.567 0.155
0.489 0.942 0.532
0.896 0.540 0.171
0.985 0.944 0.533
0.071 0.289 0.197
0.129 0.614 0.116
0.170 0.625 0.438
0.217 0.890 0.266
0.261 0.879 0.585
0.333 0.207 0.505
0.413 0.000 0.781
0.512 0.277 0.110
0.555 0.631 0.930
0.643 0.485 0.234
0.656 0.848 0.236
0.737 0.652 0.472
0.755 0.013 0.466
0.839 0.873 0.760
0.891 0.208 0.621
0.985 0.498 0.916
```

The 10 most intense peaks (5° ≤ 2θ ≤ 70°), by intensity:
27.09°, rel. 100
28.92°, rel. 85
28.30°, rel. 83
25.35°, rel. 64
30.70°, rel. 60
32.65°, rel. 44
31.53°, rel. 44
25.81°, rel. 41
16.16°, rel. 40
26.91°, rel. 35



No. 4
Starting from DFT lattice parameters and positions (GGA+U), the X-ray powder pattern of Rb2LiPr2W4O16 was simulated for CuKα.

Structural model:
```
Rb2LiPr2W4O16
1.0
5.433 -5.703 0.000
5.433 5.703 0.000
-4.881 0.000 5.714
Rb Li Pr W O
2 1 2 4 16
Direct
0.000 0.000 0.000
0.541 0.459 0.500
0.780 0.220 0.500
0.031 0.969 0.500
0.559 0.441 0.000
0.078 0.522 0.543
0.096 0.502 0.040
0.478 0.922 0.457
0.498 0.904 0.960
0.026 0.566 0.794
0.141 0.455 0.295
0.162 0.278 0.886
0.162 0.790 0.268
0.210 0.838 0.732
0.367 0.586 0.775
0.404 0.142 0.610
0.414 0.633 0.225
0.434 0.974 0.206
0.545 0.859 0.705
0.577 0.177 0.082
0.722 0.838 0.114
0.751 0.004 0.563
0.823 0.423 0.918
0.858 0.596 0.390
0.996 0.249 0.437
```

The 10 most intense peaks (5° ≤ 2θ ≤ 70°), by intensity:
26.65°, rel. 100
28.48°, rel. 100
31.34°, rel. 61
44.91°, rel. 24
33.13°, rel. 22
15.54°, rel. 21
46.27°, rel. 19
13.23°, rel. 18
33.47°, rel. 17
55.04°, rel. 17



No. 5
Starting from DFT lattice parameters and positions (GGA+U), the X-ray powder pattern of Rb2LiPr2W4O16 was simulated for CuKα.

Structural model:
```
Rb2LiPr2W4O16
1.0
7.603 0.000 0.000
3.494 6.899 0.000
3.703 -1.862 6.960
Rb Li Pr W O
2 1 2 4 16
Direct
0.000 0.000 0.000
0.496 0.356 0.674
0.994 0.786 0.262
0.504 0.902 0.090
0.986 0.391 0.664
0.040 0.837 0.583
0.449 0.461 0.185
0.540 0.853 0.565
0.949 0.445 0.194
0.037 0.380 0.940
0.114 0.199 0.223
0.183 0.516 0.134
0.220 0.518 0.458
0.255 0.778 0.284
0.320 0.774 0.609
0.370 0.098 0.533
0.447 0.905 0.822
0.544 0.196 0.109
0.604 0.523 0.958
0.676 0.411 0.251
0.729 0.750 0.254
0.783 0.553 0.491
0.789 0.907 0.518
0.889 0.758 0.806
0.941 0.109 0.649
```

The 10 most intense peaks (5° ≤ 2θ ≤ 70°), by intensity:
25.61°, rel. 100
28.70°, rel. 77
28.14°, rel. 77
26.75°, rel. 74
30.68°, rel. 61
31.98°, rel. 60
15.86°, rel. 55
54.43°, rel. 43
32.22°, rel. 37
26.47°, rel. 35



What did the third record say?
Starting from DFT lattice parameters and positions (GGA+U), the X-ray powder pattern of Rb2LiPr2W4O16 was simulated for CuKα.

Structural model:
```
Rb2LiPr2W4O16
1.0
7.595 0.000 0.000
3.516 6.769 0.000
3.737 -1.682 7.027
Rb Li Pr W O
2 1 2 4 16
Direct
0.000 0.000 0.000
0.426 0.474 0.695
0.566 0.259 0.324
0.460 0.011 0.056
0.942 0.494 0.644
0.395 0.567 0.155
0.489 0.942 0.532
0.896 0.540 0.171
0.985 0.944 0.533
0.071 0.289 0.197
0.129 0.614 0.116
0.170 0.625 0.438
0.217 0.890 0.266
0.261 0.879 0.585
0.333 0.207 0.505
0.413 0.000 0.781
0.512 0.277 0.110
0.555 0.631 0.930
0.643 0.485 0.234
0.656 0.848 0.236
0.737 0.652 0.472
0.755 0.013 0.466
0.839 0.873 0.760
0.891 0.208 0.621
0.985 0.498 0.916
```

The 10 most intense peaks (5° ≤ 2θ ≤ 70°), by intensity:
27.09°, rel. 100
28.92°, rel. 85
28.30°, rel. 83
25.35°, rel. 64
30.70°, rel. 60
32.65°, rel. 44
31.53°, rel. 44
25.81°, rel. 41
16.16°, rel. 40
26.91°, rel. 35